Diffraction record for PaFeBiO5. The powder XRD pattern is theoretical, not measured: it uses a DFT-relaxed cell (GGA+U, Alexandria) and Cu Kα (λ = 1.5418 Å).

The 10 most intense peaks (10 to 80 degrees two-theta), in order of rising 2θ:
d (Å)  I_rel
5.050  38.2
4.021  46.7
3.620  100.0
3.053  43.3
2.962  55.0
2.829  58.5
2.804  26.2
2.745  35.0
1.946  27.8
1.549  24.1

Crystal structure
```
PaFeBiO5
1.0
3.628 -5.050 0.000
3.628 5.050 0.000
-0.437 0.000 6.645
Pa Fe Bi O
2 2 2 10
direct
0.103 0.897 0.750 Pa
0.897 0.103 0.250 Pa
0.237 0.763 0.250 Fe
0.763 0.237 0.750 Fe
0.500 0.500 0.000 Bi
0.500 0.500 0.500 Bi
0.023 0.817 0.435 O
0.183 0.977 0.065 O
0.201 0.423 0.230 O
0.322 0.678 0.750 O
0.423 0.201 0.730 O
0.577 0.799 0.270 O
0.678 0.322 0.250 O
0.799 0.577 0.770 O
0.817 0.023 0.935 O
0.977 0.183 0.565 O
```